# ErPRh3
Theoretical X-ray powder pattern, Cu Kα (λ = 1.5418 Å). Input: the GGA-PBE geometry in Alexandria.
Lines closer than 0.1° are merged.

Cell and atoms:
```
5
Lattice="-1.987 1.987 5.234 1.987 -1.987 5.234 1.987 1.987 -5.234" Properties=species:S:1:pos:R:3 pbc="T T T"
Er 0.000 0.000 0.000
P 0.000 0.000 6.616
Rh 1.987 0.000 2.557
Rh 0.000 0.000 4.420
Rh 0.000 1.987 2.557
```

Principal peaks in the range 2θ = 10–90°, in order of rising 2θ:
d 2.620, rel. 41; d 2.476, rel. 100; d 1.987, rel. 35; d 1.852, rel. 17; d 1.583, rel. 25; d 1.482, rel. 9; d 1.405, rel. 11; d 1.355, rel. 12; d 1.238, rel. 9; d 1.222, rel. 21


# AcLa2Nd2Y
Theoretical X-ray powder pattern, Cu Kα (λ = 1.5418 Å). Input: the GGA-PBE geometry in Alexandria.
Lines closer than 0.1° are merged.

Cell and atoms:
```
12
Lattice="5.290 0.000 0.000 0.000 11.185 0.000 0.000 0.000 7.446" Properties=species:S:1:pos:R:3 pbc="T T T"
Ac 0.000 1.842 0.000
Ac 0.000 9.343 3.723
La 0.000 5.570 3.716
La 0.000 5.615 7.439
La 2.645 3.723 5.579
La 2.645 7.462 1.856
Nd 0.000 1.878 3.740
Nd 0.000 9.307 0.017
Nd 2.645 3.706 1.866
Nd 2.645 7.479 5.589
Y 2.645 0.012 1.874
Y 2.645 11.173 5.597
```

Principal peaks in the range 2θ = 10–90°, in order of rising 2θ:
d 3.046, rel. 100; d 2.645, rel. 17; d 2.634, rel. 34; d 1.866, rel. 31; d 1.862, rel. 6; d 1.594, rel. 15; d 1.589, rel. 29; d 1.523, rel. 13; d 1.211, rel. 9; d 1.179, rel. 8


# HfBeV2
Theoretical X-ray powder pattern, Cu Kα (λ = 1.5418 Å). Input: the GGA-PBE geometry in Alexandria.
Lines closer than 0.1° are merged.

Cell and atoms:
```
8
Lattice="-3.486 3.486 2.468 3.486 -3.486 2.468 3.486 3.486 -2.468" Properties=species:S:1:pos:R:3 pbc="T T T"
Hf 0.000 0.000 0.000
Hf 0.000 3.486 1.234
Be 3.486 0.000 1.234
Be 0.000 0.000 2.468
V 1.743 -1.444 1.851
V 2.042 1.743 0.617
V 1.743 4.929 -0.617
V 1.444 1.743 3.085
```

Principal peaks in the range 2θ = 10–90°, in order of rising 2θ:
d 4.028, rel. 89; d 2.636, rel. 100; d 2.465, rel. 81; d 2.207, rel. 69; d 2.102, rel. 34; d 1.743, rel. 25; d 1.644, rel. 52; d 1.600, rel. 27; d 1.342, rel. 21; d 1.253, rel. 28